MnIrO4: computed X-ray diffraction stick pattern (CuKα), based on a PBE+U-relaxed structure.
Peak positions follow from Bragg's law for the DFT cell and can differ from measured ones.

Atomic structure:
Unit cell a=5.2819 b=4.4266 c=5.5775 alpha=90.00 beta=90.00 gamma=90.00
Sites, in units of the cell vectors:
Mn 0.0000 0.0000 0.0000
Mn 0.0000 0.5000 0.5000
Ir 0.5000 0.0000 0.2945
Ir 0.5000 0.5000 0.7945
O 0.1746 0.2271 0.2660
O 0.1746 0.2729 0.7660
O 0.3451 0.7468 0.5406
O 0.3451 0.7532 0.0406
O 0.6549 0.2468 0.0406
O 0.6549 0.2532 0.5406
O 0.8254 0.7271 0.7660
O 0.8254 0.7729 0.2660

Main lines, most intense first (2θ from 10° to 90°):
hkl 1 1 1, 2θ 30.8, intensity 100; hkl 0 1 1, 2θ 25.7, intensity 63; hkl 1 0 0, 2θ 16.8, intensity 44; hkl 1 0 2, 2θ 36.4, intensity 31; hkl 1 2 2, 2θ 55.8, intensity 30; hkl 2 1 1, 2θ 43.1, intensity 30; hkl 2 0 0, 2θ 33.9, intensity 20; hkl 2 2 0, 2θ 54.1, intensity 17